Er3Pt2: simulated XRD peak list (Cu Kα), based on a cell relaxed with PBE.
Kinematic intensities with the Lorentz-polarization factor, no thermal factor.

The 6 most intense peaks (2θ from 15° to 90°), in order of rising 2θ:
| two_theta | d/Å | I_rel | h k l |
| --- | --- | --- | --- |
| 32.34 | 2.768 | 75 | 2 1 2 |
| 33.12 | 2.705 | 68 | 0 1 3 |
| 34.12 | 2.627 | 82 | 1 1 3 |
| 34.51 | 2.599 | 46 | 3 1 1 |
| 37.22 | 2.416 | 73 | 3 1 2 |
| 46.99 | 1.934 | 100 | 0 2 0 |

Structural model:
```
data_Er3Pt2
_chemical_formula_sum 'Er12 Pt8'
_symmetry_space_group_name_H-M 'P n m a'
_symmetry_Int_Tables_number 62
_cell_length_a 11.0707
_cell_length_b 3.8681
_cell_length_c 11.3500
_cell_angle_alpha 90.00
_cell_angle_beta 90.00
_cell_angle_gamma 90.00
loop_
_symmetry_equiv_pos_as_xyz
'x,y,z'
'-x,-y,-z'
'-x+1/2,-y,z+1/2'
'x+1/2,y,-z+1/2'
'x+1/2,-y+1/2,-z+1/2'
'-x+1/2,y+1/2,z+1/2'
'-x,y+1/2,-z'
'x,-y+1/2,z'
loop_
_atom_site_label
_atom_site_fract_x
_atom_site_fract_y
_atom_site_fract_z
_atom_site_occupancy
Er1 0.0513 0.2500 0.1303 1
Er2 0.1206 0.7500 0.5612 1
Er3 0.2176 0.2500 0.8081 1
Pt1 0.0171 0.7500 0.3173 1
Pt2 0.1857 0.7500 0.9936 1
```